(1)
Structure and computed powder X-ray diffraction pattern of CePuNiOs (a DFT-relaxed cell (PBE, Alexandria); λ = 1.5418 Å (Cu Kα)).
Kinematic intensities with the Lorentz-polarization factor, no thermal factor.

The 8 most intense peaks (2θ from 10° to 80°), sorted by position:
Position (°2θ), Rel. int.
23.52, 5
27.22, 15
38.87, 100
45.94, 3
48.10, 5
56.15, 17
63.49, 6
70.39, 35

Cell and atoms:
a = 6.552 Å, b = 6.552 Å, c = 6.552 Å
α = 90.00°, β = 90.00°, γ = 90.00°
Positions (direct):
Ce: 0.000 0.000 0.000
Ce: 0.000 0.500 0.500
Ce: 0.500 0.000 0.500
Ce: 0.500 0.500 0.000
Pu: 0.250 0.250 0.250
Pu: 0.250 0.750 0.750
Pu: 0.750 0.250 0.750
Pu: 0.750 0.750 0.250
Ni: 0.000 0.000 0.500
Ni: 0.000 0.500 0.000
Ni: 0.500 0.000 0.000
Ni: 0.500 0.500 0.500
Os: 0.250 0.250 0.750
Os: 0.250 0.750 0.250
Os: 0.750 0.250 0.250
Os: 0.750 0.750 0.750

(2)
Structure and computed powder X-ray diffraction pattern of Ce2Ni7P4 (a DFT-relaxed cell (PBE, Alexandria); λ = 1.5418 Å (Cu Kα)).
Kinematic intensities with the Lorentz-polarization factor, no thermal factor.

The 8 most intense peaks (2θ from 10° to 80°), sorted by position:
Position (°2θ), Rel. int.
35.38, 25
36.64, 100
37.92, 83
40.54, 36
43.54, 27
47.62, 37
48.33, 47
70.19, 22

Cell and atoms:
a = 3.767 Å, b = 9.166 Å, c = 10.361 Å
α = 90.00°, β = 90.00°, γ = 90.00°
Positions (direct):
Ce: 0.000 0.059 0.000
Ce: 0.000 0.439 0.222
Ce: 0.500 0.561 0.722
Ce: 0.500 0.941 0.500
Ni: 0.000 0.059 0.697
Ni: 0.000 0.101 0.300
Ni: 0.000 0.306 0.789
Ni: 0.000 0.421 0.531
Ni: 0.000 0.686 0.486
Ni: 0.000 0.721 0.889
Ni: 0.000 0.745 0.121
Ni: 0.500 0.255 0.621
Ni: 0.500 0.279 0.389
Ni: 0.500 0.314 0.986
Ni: 0.500 0.579 0.031
Ni: 0.500 0.694 0.289
Ni: 0.500 0.899 0.800
Ni: 0.500 0.941 0.197
P: 0.000 0.184 0.505
P: 0.000 0.472 0.940
P: 0.000 0.811 0.687
P: 0.000 0.845 0.309
P: 0.500 0.155 0.809
P: 0.500 0.189 0.187
P: 0.500 0.528 0.440
P: 0.500 0.816 0.005

(3)
Structure and computed powder X-ray diffraction pattern of Ce2Ni12P5 (a DFT-relaxed cell (PBE, Alexandria); λ = 1.5418 Å (Cu Kα)).
Kinematic intensities with the Lorentz-polarization factor, no thermal factor.

The 8 most intense peaks (2θ from 10° to 80°), sorted by position:
Position (°2θ), Rel. int.
28.21, 12
32.36, 13
32.50, 15
34.93, 17
35.87, 38
37.85, 100
42.98, 47
49.68, 44

Cell and atoms:
a = 10.796 Å, b = 3.670 Å, c = 13.097 Å
α = 90.00°, β = 107.93°, γ = 90.00°
Positions (direct):
Ce: 0.221 0.250 0.183
Ce: 0.255 0.250 0.688
Ce: 0.745 0.750 0.312
Ce: 0.779 0.750 0.817
Ni: 0.067 0.750 0.297
Ni: 0.081 0.750 0.992
Ni: 0.082 0.750 0.490
Ni: 0.094 0.750 0.804
Ni: 0.201 0.250 0.418
Ni: 0.213 0.250 0.939
Ni: 0.335 0.750 0.360
Ni: 0.337 0.750 0.062
Ni: 0.430 0.250 0.517
Ni: 0.436 0.250 0.947
Ni: 0.493 0.750 0.653
Ni: 0.496 0.750 0.841
Ni: 0.504 0.250 0.159
Ni: 0.507 0.250 0.347
Ni: 0.564 0.750 0.053
Ni: 0.570 0.750 0.483
Ni: 0.663 0.250 0.938
Ni: 0.665 0.250 0.640
Ni: 0.787 0.750 0.061
Ni: 0.799 0.750 0.582
Ni: 0.906 0.250 0.196
Ni: 0.918 0.250 0.510
Ni: 0.919 0.250 0.008
Ni: 0.933 0.250 0.703
P: 0.004 0.250 0.877
P: 0.010 0.750 0.629
P: 0.302 0.750 0.519
P: 0.311 0.750 0.886
P: 0.450 0.750 0.241
P: 0.550 0.250 0.759
P: 0.689 0.250 0.114
P: 0.698 0.250 0.481
P: 0.990 0.250 0.371
P: 0.996 0.750 0.123

(4)
Structure and computed powder X-ray diffraction pattern of Ce6Ni20P13 (a DFT-relaxed cell (PBE, Alexandria); λ = 1.5418 Å (Cu Kα)).
Kinematic intensities with the Lorentz-polarization factor, no thermal factor.

The 8 most intense peaks (2θ from 10° to 80°), sorted by position:
Position (°2θ), Rel. int.
36.74, 20
37.35, 13
37.67, 100
43.40, 12
47.62, 24
51.74, 18
57.47, 13
72.94, 17

Cell and atoms:
a = 12.740 Å, b = 12.740 Å, c = 3.819 Å
α = 90.00°, β = 90.00°, γ = 120.00°
Positions (direct):
Ce: 0.053 0.200 0.000
Ce: 0.147 0.947 0.000
Ce: 0.519 0.384 0.500
Ce: 0.616 0.136 0.500
Ce: 0.800 0.853 0.000
Ce: 0.864 0.481 0.500
Ni: 0.000 0.000 0.500
Ni: 0.019 0.423 0.000
Ni: 0.092 0.746 0.500
Ni: 0.139 0.579 0.500
Ni: 0.254 0.346 0.500
Ni: 0.255 0.519 0.000
Ni: 0.264 0.745 0.000
Ni: 0.310 0.232 0.000
Ni: 0.357 0.103 0.500
Ni: 0.404 0.981 0.000
Ni: 0.421 0.560 0.500
Ni: 0.440 0.861 0.500
Ni: 0.481 0.736 0.000
Ni: 0.577 0.596 0.000
Ni: 0.654 0.908 0.500
Ni: 0.667 0.333 0.000
Ni: 0.746 0.643 0.500
Ni: 0.768 0.077 0.000
Ni: 0.897 0.254 0.500
Ni: 0.923 0.690 0.000
P: 0.060 0.625 0.000
P: 0.100 0.390 0.500
P: 0.200 0.146 0.500
P: 0.289 0.900 0.500
P: 0.333 0.667 0.500
P: 0.375 0.435 0.000
P: 0.466 0.186 0.000
P: 0.565 0.940 0.000
P: 0.610 0.711 0.500
P: 0.720 0.534 0.000
P: 0.814 0.280 0.000
P: 0.854 0.055 0.500
P: 0.945 0.800 0.500

(5)
Structure and computed powder X-ray diffraction pattern of Ce2Ni3P (a DFT-relaxed cell (PBE, Alexandria); λ = 1.5418 Å (Cu Kα)).
Kinematic intensities with the Lorentz-polarization factor, no thermal factor.

The 8 most intense peaks (2θ from 10° to 80°), sorted by position:
Position (°2θ), Rel. int.
25.12, 23
35.21, 100
35.45, 52
44.05, 22
44.65, 42
49.72, 15
57.77, 24
69.03, 22

Cell and atoms:
a = 8.119 Å, b = 7.904 Å, c = 5.509 Å
α = 72.01°, β = 67.80°, γ = 40.19°
Positions (direct):
Ce: 0.242 0.758 0.758
Ce: 0.250 0.250 0.250
Ce: 0.750 0.750 0.750
Ce: 0.758 0.242 0.242
Ni: 0.171 0.171 0.829
Ni: 0.173 0.652 0.348
Ni: 0.348 0.827 0.173
Ni: 0.652 0.173 0.827
Ni: 0.827 0.348 0.652
Ni: 0.829 0.829 0.171
P: 0.333 0.333 0.667
P: 0.667 0.667 0.333

(6)
Structure and computed powder X-ray diffraction pattern of CeNiP2Rh7 (a DFT-relaxed cell (PBE, Alexandria); λ = 1.5418 Å (Cu Kα)).
Kinematic intensities with the Lorentz-polarization factor, no thermal factor.

The 8 most intense peaks (2θ from 10° to 80°), sorted by position:
Position (°2θ), Rel. int.
32.36, 16
35.38, 100
41.49, 76
42.17, 45
59.20, 14
60.12, 25
71.73, 25
76.15, 16

Cell and atoms:
a = 9.471 Å, b = 9.471 Å, c = 9.471 Å
α = 153.43°, β = 153.43°, γ = 37.93°
Positions (direct):
Ce: 0.000 0.000 0.000
Ni: 0.750 0.250 0.500
P: 0.338 0.338 0.000
P: 0.662 0.662 0.000
Rh: 0.114 0.614 0.500
Rh: 0.209 0.209 0.000
Rh: 0.386 0.886 0.500
Rh: 0.500 0.500 0.000
Rh: 0.609 0.109 0.500
Rh: 0.791 0.791 0.000
Rh: 0.891 0.391 0.500

(7)
Structure and computed powder X-ray diffraction pattern of CeNi4Pb (a DFT-relaxed cell (PBE, Alexandria); λ = 1.5418 Å (Cu Kα)).
Kinematic intensities with the Lorentz-polarization factor, no thermal factor.

The 8 most intense peaks (2θ from 10° to 80°), sorted by position:
Position (°2θ), Rel. int.
21.43, 18
35.34, 66
41.70, 100
43.65, 15
55.78, 5
63.44, 25
67.79, 31
74.76, 22

Cell and atoms:
a = 5.079 Å, b = 5.079 Å, c = 5.079 Å
α = 60.00°, β = 60.00°, γ = 60.00°
Positions (direct):
Ce: 0.000 0.000 0.000
Ni: 0.375 0.375 0.375
Ni: 0.375 0.375 0.874
Ni: 0.375 0.874 0.375
Ni: 0.874 0.375 0.375
Pb: 0.750 0.750 0.750

(8)
Structure and computed powder X-ray diffraction pattern of Ce3Si6NiPd2 (a DFT-relaxed cell (PBE, Alexandria); λ = 1.5418 Å (Cu Kα)).
Kinematic intensities with the Lorentz-polarization factor, no thermal factor.

The 8 most intense peaks (2θ from 10° to 80°), sorted by position:
Position (°2θ), Rel. int.
28.90, 63
31.24, 100
34.05, 22
38.03, 21
38.84, 37
43.07, 43
46.87, 26
54.16, 23

Cell and atoms:
a = 5.727 Å, b = 5.727 Å, c = 7.900 Å
α = 90.00°, β = 90.00°, γ = 120.00°
Positions (direct):
Ce: 0.000 0.000 0.000
Ce: 0.333 0.667 0.639
Ce: 0.667 0.333 0.361
Si: 0.186 0.372 0.303
Si: 0.186 0.814 0.303
Si: 0.372 0.186 0.697
Si: 0.628 0.814 0.303
Si: 0.814 0.186 0.697
Si: 0.814 0.628 0.697
Ni: 0.000 0.000 0.500
Pd: 0.333 0.667 0.047
Pd: 0.667 0.333 0.953